1.
This entry pairs a crystal structure of LiGa2Ni with its calculated X-ray powder pattern. Radiation: CuKα. Structure: the PBE geometry in the Materials Project.
Lines closer than 0.1° are merged.

Top 9 peaks for 2θ from 10° to 80°, by angle:
d_spacing  I_rel
3.424  20.4
2.965  16.6
2.097  100.0
1.788  8.9
1.712  4.4
1.482  15.7
1.360  3.3
1.326  5.7
1.210  30.9

Cell and atoms:
```
data_LiGa2Ni
_chemical_formula_sum 'Li1 Ga2 Ni1'
_symmetry_space_group_name_H-M 'P 1'
_symmetry_Int_Tables_number 1
_symmetry_space_group_name_Hall 'P 1'
_cell_length_a 4.1931
_cell_length_b 4.1931
_cell_length_c 4.1931
_cell_angle_alpha 60.00
_cell_angle_beta 60.00
_cell_angle_gamma 60.00
loop_
_atom_site_label
_atom_site_type_symbol
_atom_site_fract_x
_atom_site_fract_y
_atom_site_fract_z
Li1 Li 0.0000 0.0000 0.0000
Ga1 Ga 0.2500 0.2500 0.2500
Ga2 Ga 0.7500 0.7500 0.7500
Ni1 Ni 0.5000 0.5000 0.5000
```

2.
This entry pairs a crystal structure of K2SiH4N2O2 with its calculated X-ray powder pattern. Radiation: CuKα. Structure: the PBE geometry in the Materials Project.
Lines closer than 0.1° are merged.

Top 10 peaks for 2θ from 10° to 80°, by angle:
d_spacing  I_rel
6.879  55.0
3.440  53.1
3.158  52.3
3.048  49.1
3.008  100.0
2.649  52.4
2.502  63.2
2.479  73.7
2.295  38.7
2.266  42.2

Cell and atoms:
```
data_K2SiH4N2O2
_chemical_formula_sum 'K8 Si4 H16 N8 O8'
_symmetry_space_group_name_H-M 'P 1'
_symmetry_Int_Tables_number 1
_symmetry_space_group_name_Hall 'P 1'
_cell_length_a 6.8801
_cell_length_b 10.0297
_cell_length_c 7.6762
_cell_angle_alpha 90.00
_cell_angle_beta 90.97
_cell_angle_gamma 90.00
loop_
_atom_site_label
_atom_site_type_symbol
_atom_site_fract_x
_atom_site_fract_y
_atom_site_fract_z
K1 K 0.1486 0.0622 0.3411
K2 K 0.1486 0.4378 0.8411
K3 K 0.1562 0.6961 0.5187
K4 K 0.1562 0.8039 0.0187
K5 K 0.8438 0.1961 0.9813
K6 K 0.8438 0.3039 0.4813
K7 K 0.8514 0.5622 0.1589
K8 K 0.8514 0.9378 0.6589
Si1 Si 0.2856 0.0748 0.7561
Si2 Si 0.2856 0.4252 0.2561
Si3 Si 0.7144 0.5748 0.7439
Si4 Si 0.7144 0.9252 0.2439
H1 H 0.2532 0.1823 0.0365
H2 H 0.2532 0.3177 0.5365
H3 H 0.3974 0.0519 0.0559
H4 H 0.3974 0.4481 0.5559
H5 H 0.4514 0.6181 0.9358
H6 H 0.4514 0.8819 0.4358
H7 H 0.4542 0.7323 0.7799
H8 H 0.4542 0.7677 0.2799
H9 H 0.5458 0.2323 0.7201
H10 H 0.5458 0.2677 0.2201
H11 H 0.5486 0.1181 0.5642
H12 H 0.5486 0.3819 0.0642
H13 H 0.6026 0.5519 0.4441
H14 H 0.6026 0.9481 0.9441
H15 H 0.7468 0.6823 0.4635
H16 H 0.7468 0.8177 0.9635
N1 N 0.2806 0.0887 0.9872
N2 N 0.2806 0.4113 0.4872
N3 N 0.4794 0.6332 0.8061
N4 N 0.4794 0.8668 0.3061
N5 N 0.5206 0.1332 0.6939
N6 N 0.5206 0.3668 0.1939
N7 N 0.7194 0.5887 0.5128
N8 N 0.7194 0.9113 0.0128
O1 O 0.1087 0.1693 0.6846
O2 O 0.1087 0.3307 0.1846
O3 O 0.2711 0.5800 0.1966
O4 O 0.2711 0.9200 0.6966
O5 O 0.7289 0.0800 0.3034
O6 O 0.7289 0.4200 0.8034
O7 O 0.8913 0.6693 0.8154
O8 O 0.8913 0.8307 0.3154
```

3.
This entry pairs a crystal structure of Nb2Pb3O8 with its calculated X-ray powder pattern. Radiation: CuKα. Structure: the PBE geometry in the Materials Project.
Lines closer than 0.1° are merged.

Top 10 peaks for 2θ from 10° to 80°, by angle:
d_spacing  I_rel
7.648  9.2
3.128  100.0
2.709  39.5
1.917  35.3
1.911  6.5
1.635  30.1
1.632  14.0
1.355  6.4
1.244  9.2
1.212  10.7

Cell and atoms:
```
data_Nb2Pb3O8
_chemical_formula_sum 'Nb6 Pb9 O24'
_symmetry_space_group_name_H-M 'P 1'
_symmetry_Int_Tables_number 1
_symmetry_space_group_name_Hall 'P 1'
_cell_length_a 7.6450
_cell_length_b 7.6751
_cell_length_c 10.8460
_cell_angle_alpha 90.00
_cell_angle_beta 90.07
_cell_angle_gamma 90.00
loop_
_atom_site_label
_atom_site_type_symbol
_atom_site_fract_x
_atom_site_fract_y
_atom_site_fract_z
Nb1 Nb 0.0000 0.0000 0.0000
Nb2 Nb 0.0000 0.4914 0.5000
Nb3 Nb 0.2416 0.7571 0.2513
Nb4 Nb 0.2490 0.2572 0.2447
Nb5 Nb 0.7510 0.2572 0.7553
Nb6 Nb 0.7584 0.7571 0.7487
Pb1 Pb 0.0000 0.0000 0.5000
Pb2 Pb 0.2655 0.2534 0.7531
Pb3 Pb 0.2718 0.7373 0.7489
Pb4 Pb 0.5000 0.4977 0.5000
Pb5 Pb 0.5000 0.5062 0.0000
Pb6 Pb 0.5000 0.9953 0.0000
Pb7 Pb 0.5000 0.9994 0.5000
Pb8 Pb 0.7282 0.7373 0.2511
Pb9 Pb 0.7345 0.2534 0.2469
O1 O 0.0736 0.1790 0.1273
O2 O 0.0745 0.3058 0.3828
O3 O 0.0760 0.6861 0.3820
O4 O 0.0771 0.8159 0.1236
O5 O 0.2347 0.0024 0.9217
O6 O 0.2348 0.5007 0.5801
O7 O 0.2432 0.9976 0.3155
O8 O 0.2529 0.4978 0.2031
O9 O 0.4497 0.7852 0.1303
O10 O 0.4514 0.2044 0.1317
O11 O 0.4559 0.2823 0.3697
O12 O 0.4577 0.7107 0.3678
O13 O 0.5423 0.7107 0.6322
O14 O 0.5441 0.2823 0.6303
O15 O 0.5486 0.2044 0.8683
O16 O 0.5503 0.7852 0.8697
O17 O 0.7471 0.4978 0.7969
O18 O 0.7568 0.9976 0.6845
O19 O 0.7653 0.0024 0.0783
O20 O 0.7652 0.5007 0.4199
O21 O 0.9229 0.8159 0.8764
O22 O 0.9240 0.6861 0.6180
O23 O 0.9255 0.3058 0.6172
O24 O 0.9264 0.1790 0.8727
```

4.
This entry pairs a crystal structure of K2NaBP2 with its calculated X-ray powder pattern. Radiation: CuKα. Structure: the PBE geometry in the Materials Project.
Lines closer than 0.1° are merged.

Top 10 peaks for 2θ from 10° to 80°, by angle:
d_spacing  I_rel
3.191  68.2
3.158  17.2
3.107  100.0
3.031  18.7
2.919  47.7
2.605  17.7
2.559  44.4
2.510  48.5
1.807  22.4
1.693  16.1

Cell and atoms:
```
data_K2NaBP2
_chemical_formula_sum 'K4 Na2 B2 P4'
_symmetry_space_group_name_H-M 'P 1'
_symmetry_Int_Tables_number 1
_symmetry_space_group_name_Hall 'P 1'
_cell_length_a 6.7961
_cell_length_b 6.7961
_cell_length_c 12.1398
_cell_angle_alpha 118.48
_cell_angle_beta 118.48
_cell_angle_gamma 43.36
loop_
_atom_site_label
_atom_site_type_symbol
_atom_site_fract_x
_atom_site_fract_y
_atom_site_fract_z
K1 K 0.0173 0.0173 0.1797
K2 K 0.1771 0.1771 0.5914
K3 K 0.8229 0.8229 0.4086
K4 K 0.9827 0.9827 0.8203
Na1 Na 0.2971 0.2971 0.1335
Na2 Na 0.7029 0.7029 0.8665
B1 B 0.5000 0.5000 0.0000
B2 B 0.5000 0.5000 0.5000
P1 P 0.3357 0.3357 0.9116
P2 P 0.4669 0.4669 0.6261
P3 P 0.5331 0.5331 0.3739
P4 P 0.6643 0.6643 0.0884
```